Structure and computed powder X-ray diffraction pattern of BaFeO4 (a structure optimized by DFT (GGA+U); Cu Kα).
Peak positions follow from Bragg's law for the DFT cell and can differ from measured ones.

Most intense lines, 10° ≤ 2θ ≤ 90°, sorted by position:
Position (°2θ)  d_spacing  Rel. int.
22.1  4.026  33.9
24.0  3.712  26.0
25.0  3.558  90.4
25.9  3.442  54.9
27.8  3.208  100.0
30.5  2.935  61.0
31.9  2.808  48.6
41.1  2.197  76.7
41.5  2.177  80.9
52.9  1.730  29.7

```
24
Lattice="9.197 0.000 0.000 0.000 5.615 0.000 0.000 0.000 7.423" Properties=species:S:1:pos:R:3 pbc="T T T"
Ba 1.695 1.404 1.168
Ba 2.903 4.212 4.879
Ba 6.294 1.404 2.544
Ba 7.502 4.212 6.255
Fe 0.571 1.404 5.118
Fe 4.028 4.212 1.407
Fe 5.170 1.404 6.016
Fe 8.627 4.212 2.305
O 0.761 0.061 6.097
O 0.761 2.747 6.097
O 0.942 4.212 2.943
O 1.788 1.404 3.996
O 2.811 4.212 0.284
O 3.657 1.404 6.655
O 3.837 2.869 2.386
O 3.837 5.555 2.386
O 5.360 0.061 5.037
O 5.360 2.747 5.037
O 5.540 4.212 0.768
O 6.387 1.404 7.139
O 7.409 4.212 3.427
O 8.256 1.404 4.480
O 8.436 2.869 1.326
O 8.436 5.555 1.326
```



Structure and computed powder X-ray diffraction pattern of BaFe2O4 (a structure optimized by DFT (GGA+U); Cu Kα).
Peak positions follow from Bragg's law for the DFT cell and can differ from measured ones.

Most intense lines, 10° ≤ 2θ ≤ 90°, sorted by position:
Position (°2θ)  d_spacing  Rel. int.
18.6  4.767  16.2
21.0  4.237  13.8
26.9  3.319  100.0
32.5  2.752  60.8
39.0  2.311  14.5
42.7  2.119  29.3
51.6  1.770  17.2
54.7  1.679  27.6
58.0  1.589  17.4
74.7  1.271  10.7

```
14
Lattice="5.505 0.000 0.000 -2.752 4.767 0.000 0.000 0.000 9.245" Properties=species:S:1:pos:R:3 pbc="T T T"
Ba 0.000 0.000 2.311
Ba 0.000 0.000 6.934
Fe 0.000 3.178 0.441
Fe 0.000 3.178 4.181
Fe 2.752 1.589 5.064
Fe 2.752 1.589 8.804
O -0.902 1.563 0.000
O -1.850 3.205 4.622
O 1.804 0.000 0.000
O 0.902 1.563 4.622
O 0.000 3.178 2.311
O 2.752 1.589 6.934
O 3.700 0.000 4.622
O 1.850 3.205 0.000
```



Structure and computed powder X-ray diffraction pattern of BaFeO3 (a structure optimized by DFT (GGA+U); Cu Kα).
Peak positions follow from Bragg's law for the DFT cell and can differ from measured ones.

Most intense lines, 10° ≤ 2θ ≤ 90°, sorted by position:
Position (°2θ)  d_spacing  Rel. int.
26.2  3.403  22.2
31.3  2.861  100.0
36.8  2.445  6.9
38.6  2.335  8.4
41.2  2.189  16.5
44.8  2.024  23.7
49.0  1.859  10.5
55.7  1.651  26.9
59.3  1.559  7.6
65.3  1.429  12.0

```
30
Lattice="5.716 0.000 0.000 -2.858 4.950 0.000 0.000 0.000 14.060" Properties=species:S:1:pos:R:3 pbc="T T T"
Ba 0.000 0.000 3.515
Ba 0.000 0.000 10.545
Ba 0.000 3.300 1.255
Ba 0.000 3.300 5.775
Ba 2.858 1.650 8.285
Ba 2.858 1.650 12.805
Fe 0.000 0.000 0.000
Fe 0.000 0.000 7.030
Fe 0.000 3.300 9.174
Fe 0.000 3.300 11.916
Fe 2.858 1.650 2.144
Fe 2.858 1.650 4.886
O -1.293 2.553 10.545
O 0.000 1.608 8.151
O 0.000 1.608 12.939
O -1.465 4.146 8.151
O -1.465 4.146 12.939
O 1.393 0.804 1.121
O 1.393 0.804 5.909
O 1.293 2.553 10.545
O 0.000 4.794 10.545
O 2.858 0.157 3.515
O 1.565 2.397 3.515
O 1.465 4.146 8.151
O 1.465 4.146 12.939
O 4.324 0.804 1.121
O 4.324 0.804 5.909
O 2.858 3.342 1.121
O 2.858 3.342 5.909
O 4.152 2.397 3.515
```